This entry pairs a crystal structure of Dy3Y with its theoretical powder X-ray diffraction pattern. Radiation: Cu Ka. Structure: DFT lattice parameters and positions (PBE).
Intensities are scaled so that the largest is 100.

Atomic structure:
```
data_Dy3Y
_chemical_formula_sum 'Dy6 Y2'
_cell_length_a 5.0256
_cell_length_b 5.0256
_cell_length_c 10.0824
_cell_angle_alpha 90.00
_cell_angle_beta 90.00
_cell_angle_gamma 90.00
_space_group_name_H-M_alt 'I 4/m m m'
_space_group_IT_number 139
_space_group_name_Hall '-I 4 2'
loop_
_atom_site_label
_atom_site_type_symbol
_atom_site_fract_x
_atom_site_fract_y
_atom_site_fract_z
Dy1 Dy 0.0000 0.0000 0.0000
Dy2 Dy 0.0000 0.5000 0.2500
Y1 Y 0.0000 0.0000 0.5000
```

Largest 10 diffraction maxima, by intensity, 2θ from 10° to 90°:
2θ = 30.78°, d = 2.905 Å, I 100, (1 1 2)
2θ = 51.37°, d = 1.779 Å, I 36, (2 2 0)
2θ = 35.73°, d = 2.513 Å, I 34, (2 0 0)
2θ = 61.14°, d = 1.516 Å, I 28, (3 1 2)
2θ = 35.62°, d = 2.521 Å, I 17, (0 0 4)
2θ = 60.99°, d = 1.519 Å, I 14, (1 1 6)
2θ = 64.12°, d = 1.452 Å, I 12, (2 2 4)
2θ = 83.77°, d = 1.155 Å, I 12, (3 1 6)
2θ = 86.60°, d = 1.124 Å, I 11, (4 2 0)
2θ = 83.91°, d = 1.153 Å, I 6, (3 3 2)